[1]
Structure and simulated powder X-ray diffraction pattern of LaPr3N2F2 (a DFT-relaxed cell (GGA-PBE, OQMD); CuKα).

a b c (Å): 3.580 3.580 12.759
angles (deg): 90.00 90.00 120.00
Atoms (fractional coordinates):
La  0.000  0.000  0.000
Pr  0.000  0.000  0.285
Pr  0.667  0.333  0.500
Pr  0.667  0.333  0.783
N  0.333  0.667  0.393
N  0.333  0.667  0.890
F  0.000  0.000  0.641
F  0.667  0.333  0.147

Principal peaks in the range 10° ≤ 2θ ≤ 90°, low angle first:
- (0 0 2), 13.88°, d = 6.380 Å, I 9.0
- (0 0 4), 27.97°, d = 3.190 Å, I 28.3
- (1 0 0), 28.79°, d = 3.101 Å, I 30.2
- (1 0 1), 29.65°, d = 3.013 Å, I 54.9
- (1 0 3), 35.84°, d = 2.506 Å, I 100.0
- (0 1 4), 40.58°, d = 2.223 Å, I 22.2
- (1 1 0), 51.01°, d = 1.790 Å, I 31.9
- (1 0 7), 58.76°, d = 1.571 Å, I 22.7
- (1 1 4), 59.18°, d = 1.561 Å, I 22.2
- (0 2 3), 63.91°, d = 1.457 Å, I 17.9
- (0 2 7), 81.52°, d = 1.181 Å, I 11.0
- (2 1 3), 86.05°, d = 1.130 Å, I 15.7

[2]
Structure and simulated powder X-ray diffraction pattern of La3NbSe2O4F2 (a DFT-relaxed cell (GGA-PBE, OQMD); CuKα).

a b c (Å): 11.276 4.000 18.007
angles (deg): 90.00 90.00 90.00
Atoms (fractional coordinates):
La  0.004  0.250  0.107
La  0.067  0.250  0.698
La  0.206  0.750  0.469
La  0.294  0.250  0.969
La  0.433  0.750  0.198
La  0.496  0.750  0.607
La  0.504  0.250  0.393
La  0.567  0.250  0.802
La  0.706  0.750  0.031
La  0.794  0.250  0.531
La  0.933  0.750  0.302
La  0.996  0.750  0.893
Nb  0.193  0.250  0.305
Nb  0.307  0.750  0.805
Nb  0.693  0.250  0.195
Nb  0.807  0.750  0.695
Se  0.006  0.250  0.421
Se  0.216  0.750  0.092
Se  0.284  0.250  0.592
Se  0.494  0.750  0.921
Se  0.506  0.250  0.079
Se  0.716  0.750  0.408
Se  0.784  0.250  0.908
Se  0.994  0.750  0.579
O  0.052  0.250  0.244
O  0.170  0.750  0.321
O  0.185  0.750  0.737
O  0.217  0.750  0.902
O  0.283  0.250  0.402
O  0.315  0.250  0.237
O  0.330  0.250  0.821
O  0.448  0.750  0.744
O  0.552  0.250  0.256
O  0.670  0.750  0.179
O  0.685  0.750  0.763
O  0.717  0.750  0.598
O  0.783  0.250  0.098
O  0.815  0.250  0.263
O  0.830  0.250  0.679
O  0.948  0.750  0.756
F  0.064  0.250  0.832
F  0.069  0.250  0.974
F  0.431  0.750  0.474
F  0.436  0.750  0.332
F  0.564  0.250  0.668
F  0.569  0.250  0.526
F  0.931  0.750  0.026
F  0.936  0.750  0.168

Principal peaks in the range 10° ≤ 2θ ≤ 90°, low angle first:
- (1 1 2), 25.63°, d = 3.475 Å, I 15.0
- (1 0 5), 25.97°, d = 3.431 Å, I 32.0
- (1 1 3), 27.95°, d = 3.192 Å, I 44.3
- (2 1 2), 29.11°, d = 3.067 Å, I 26.6
- (2 1 3), 31.21°, d = 2.866 Å, I 100.0
- (4 0 0), 31.74°, d = 2.819 Å, I 16.1
- (4 0 1), 32.14°, d = 2.785 Å, I 18.5
- (4 1 0), 39.09°, d = 2.304 Å, I 20.4
- (0 1 7), 41.75°, d = 2.164 Å, I 16.8
- (2 1 7), 44.86°, d = 2.021 Å, I 14.3
- (0 2 0), 45.35°, d = 2.000 Å, I 32.1
- (3 1 8), 52.63°, d = 1.739 Å, I 14.0

[3]
Structure and simulated powder X-ray diffraction pattern of LaPmO2F2 (a DFT-relaxed cell (GGA-PBE, OQMD); CuKα).

a b c (Å): 3.972 3.997 5.701
angles (deg): 90.00 90.00 90.00
Atoms (fractional coordinates):
La  0.000  0.000  0.000
Pm  0.500  0.500  0.431
O  0.000  0.500  0.218
O  0.500  0.000  0.223
F  0.000  0.500  0.706
F  0.500  0.000  0.710

Principal peaks in the range 10° ≤ 2θ ≤ 90°, low angle first:
- (0 1 1), 27.25°, d = 3.273 Å, I 100.0
- (1 0 1), 27.37°, d = 3.259 Å, I 98.9
- (0 0 2), 31.38°, d = 2.851 Å, I 15.1
- (1 1 0), 31.76°, d = 2.817 Å, I 38.1
- (1 0 2), 38.85°, d = 2.318 Å, I 14.4
- (1 1 2), 45.25°, d = 2.004 Å, I 69.3
- (0 2 0), 45.38°, d = 1.999 Å, I 20.1
- (2 0 0), 45.68°, d = 1.986 Å, I 19.7
- (1 0 3), 53.41°, d = 1.715 Å, I 20.6
- (1 2 1), 53.81°, d = 1.704 Å, I 30.2
- (2 1 1), 54.01°, d = 1.698 Å, I 29.9
- (0 3 1), 72.87°, d = 1.298 Å, I 14.2